Entry 1:
Ac5PmS6: simulated X-ray diffraction stick pattern (Cu Ka), based on a DFT-relaxed cell (GGA-PBE, Alexandria).
Intensities are scaled so that the largest is 100.

a b c (Å): 7.3774 12.7958 7.3863
angles (deg): 90.00 109.60 90.00
Space group C2/m (No. 12)
One atom of each set of equivalent atoms:
Ac (0.0000, 0.0000, 0.0000) [2 per cell]
Ac (0.0000, 0.1661, 0.5000) [4 per cell]
Ac (0.0000, 0.3310, 0.0000) [4 per cell]
Pm (0.0000, 0.5000, 0.5000) [2 per cell]
S (0.2415, 0.5000, 0.2540) [4 per cell]
S (0.2423, 0.3380, 0.7421) [8 per cell]

Principal peaks in the range 2θ from 10° to 90°, sorted by position:
2θ (°)	I/Imax	h k l
25.60	98	2 0 0
29.64	100	1 3 1
42.40	63	3 3 -1
50.18	35	4 0 -2
50.25	17	3 3 1
52.57	20	0 0 4
61.54	13	4 0 -4
67.73	14	4 6 -2
69.79	17	0 6 4
77.54	15	2 0 -6

***

Entry 2:
Ta5Cr: simulated X-ray diffraction stick pattern (Cu Ka), based on a DFT-relaxed cell (GGA-PBE, Alexandria).
Intensities are scaled so that the largest is 100.

a b c (Å): 10.3161 3.2278 6.5245
angles (deg): 90.00 108.03 90.00
Space group C2/m (No. 12)
One atom of each set of equivalent atoms:
Ta (0.0000, 0.0000, 0.0000) [2 per cell]
Ta (0.1575, 0.5000, 0.3411) [4 per cell]
Ta (0.1626, 0.5000, 0.8202) [4 per cell]
Cr (0.0000, 0.0000, 0.5000) [2 per cell]

Principal peaks in the range 2θ from 10° to 90°, sorted by position:
2θ (°)	I/Imax	h k l
38.86	34	2 0 2
39.19	100	3 1 0
39.27	67	1 1 -2
56.27	11	6 0 0
56.41	11	2 0 -4
57.07	11	0 2 0
70.62	23	5 1 2
71.00	22	7 1 -2
71.20	12	2 2 2
71.38	11	4 2 -2

***

Entry 3:
U3Tl3RhS8: simulated X-ray diffraction stick pattern (Cu Ka), based on a DFT-relaxed cell (GGA-PBE, Alexandria).
Intensities are scaled so that the largest is 100.

a b c (Å): 7.6045 7.6045 23.5368
angles (deg): 90.00 90.00 120.00
Space group R-3m (No. 166, hexagonal axes)
One atom of each set of equivalent atoms:
U (0.0000, 0.5000, 0.0000) [9 per cell]
Tl (0.0000, 0.5000, 0.5000) [9 per cell]
Rh (0.0000, 0.0000, 0.0000) [3 per cell]
S (0.0000, 0.0000, 0.2653) [6 per cell]
S (0.0172, 0.5086, 0.7295) [18 per cell]

Principal peaks in the range 2θ from 10° to 90°, sorted by position:
2θ (°)	I/Imax	h k l
15.42	20	0 1 2
22.67	38	0 0 6
28.14	61	2 0 2
31.12	100	0 2 4
41.14	44	2 0 8
47.48	23	0 2 10
47.85	33	2 2 0
53.57	27	2 2 6
58.19	17	4 0 4
68.77	16	2 2 12